Record 1
Structure and simulated powder diffraction line list of NaLaPrHg (a cell relaxed with PBE; Cu Kα, 1.54184 Å).

Atomic structure:
Unit cell a=5.582 b=5.582 c=5.582 alpha=60.00 beta=60.00 gamma=60.00
Element x y z (fractional)
Na: 0.000 0.000 0.000
La: 0.250 0.250 0.250
Pr: 0.750 0.750 0.750
Hg: 0.500 0.500 0.500

Principal peaks in the range 10° ≤ 2θ ≤ 90°, sorted by position:
| two_theta | intensity |
| --- | --- |
| 19.5 | 27 |
| 32.1 | 100 |
| 37.8 | 16 |
| 46.0 | 18 |
| 50.4 | 7 |
| 57.2 | 39 |
| 61.0 | 5 |
| 67.1 | 12 |
| 70.6 | 5 |
| 76.3 | 17 |

---

Record 2
Structure and simulated powder diffraction line list of SrPuRh (a cell relaxed with PBE; Cu Kα, 1.54184 Å).

Atomic structure:
Unit cell a=4.661 b=4.661 c=7.911 alpha=90.00 beta=90.00 gamma=90.00
Element x y z (fractional)
Sr: 0.250 0.250 0.136
Sr: 0.750 0.750 0.864
Pu: 0.250 0.750 0.500
Pu: 0.750 0.250 0.500
Rh: 0.250 0.250 0.703
Rh: 0.750 0.750 0.297

Principal peaks in the range 10° ≤ 2θ ≤ 90°, sorted by position:
| two_theta | intensity |
| --- | --- |
| 11.2 | 100 |
| 29.4 | 72 |
| 29.6 | 22 |
| 35.5 | 72 |
| 38.6 | 47 |
| 40.3 | 19 |
| 44.0 | 21 |
| 55.8 | 16 |
| 64.3 | 16 |
| 67.9 | 22 |

---

Record 3
Structure and simulated powder diffraction line list of Ce2PaCoN5 (a cell relaxed with PBE; Cu Kα, 1.54184 Å).

Atomic structure:
Unit cell a=6.684 b=6.684 c=10.603 alpha=90.00 beta=90.00 gamma=149.19
Element x y z (fractional)
Ce: 0.098 0.902 0.500
Ce: 0.143 0.857 0.148
Ce: 0.857 0.143 0.648
Ce: 0.902 0.098 0.000
Pa: 0.185 0.815 0.843
Pa: 0.815 0.185 0.343
Co: 0.489 0.511 0.256
Co: 0.511 0.489 0.756
N: 0.011 0.989 0.820
N: 0.278 0.722 0.480
N: 0.330 0.670 0.206
N: 0.357 0.643 0.808
N: 0.482 0.518 0.579
N: 0.518 0.482 0.079
N: 0.643 0.357 0.308
N: 0.670 0.330 0.706
N: 0.722 0.278 0.980
N: 0.989 0.011 0.320

Principal peaks in the range 10° ≤ 2θ ≤ 90°, sorted by position:
| two_theta | intensity |
| --- | --- |
| 26.0 | 30 |
| 28.8 | 85 |
| 29.0 | 40 |
| 32.7 | 63 |
| 33.8 | 24 |
| 36.5 | 100 |
| 46.8 | 24 |
| 51.5 | 21 |
| 56.1 | 22 |
| 60.0 | 28 |

---

Record 4
Structure and simulated powder diffraction line list of Sm8PdRh3I4 (a cell relaxed with PBE; Cu Kα, 1.54184 Å).

Atomic structure:
Unit cell a=9.377 b=9.377 c=9.377 alpha=52.64 beta=52.64 gamma=52.64
Element x y z (fractional)
Sm: 0.220 0.732 0.732
Sm: 0.228 0.228 0.228
Sm: 0.268 0.268 0.780
Sm: 0.268 0.780 0.268
Sm: 0.732 0.220 0.732
Sm: 0.732 0.732 0.220
Sm: 0.772 0.772 0.772
Sm: 0.780 0.268 0.268
Pd: 0.500 0.500 0.500
Rh: 0.000 0.000 0.500
Rh: 0.000 0.500 0.000
Rh: 0.500 0.000 0.000
I: 0.000 0.000 0.000
I: 0.000 0.500 0.500
I: 0.500 0.000 0.500
I: 0.500 0.500 0.000

Principal peaks in the range 10° ≤ 2θ ≤ 90°, sorted by position:
| two_theta | intensity |
| --- | --- |
| 11.0 | 13 |
| 28.9 | 100 |
| 31.0 | 15 |
| 33.4 | 9 |
| 36.0 | 12 |
| 38.9 | 26 |
| 43.5 | 38 |
| 53.1 | 18 |
| 55.9 | 12 |
| 71.0 | 15 |

---

Record 5
Structure and simulated powder diffraction line list of MoPt3Rh6 (a cell relaxed with PBE; Cu Kα, 1.54184 Å).

Atomic structure:
Unit cell a=5.138 b=5.138 c=6.856 alpha=90.00 beta=90.00 gamma=120.00
Element x y z (fractional)
Mo: 0.000 0.000 0.000
Pt: 0.000 0.000 0.500
Pt: 0.333 0.667 0.500
Pt: 0.667 0.333 0.500
Rh: 0.000 0.413 0.816
Rh: 0.000 0.587 0.184
Rh: 0.413 0.000 0.816
Rh: 0.413 0.413 0.184
Rh: 0.587 0.000 0.184
Rh: 0.587 0.587 0.816

Principal peaks in the range 10° ≤ 2θ ≤ 90°, sorted by position:
| two_theta | intensity |
| --- | --- |
| 12.9 | 18 |
| 34.9 | 19 |
| 37.4 | 93 |
| 39.4 | 33 |
| 40.5 | 20 |
| 44.0 | 100 |
| 62.6 | 18 |
| 65.5 | 25 |
| 76.6 | 12 |
| 79.2 | 12 |

---

Record 6
Structure and simulated powder diffraction line list of K2In2O3 (a cell relaxed with PBE; Cu Kα, 1.54184 Å).

Atomic structure:
Unit cell a=6.523 b=6.895 c=7.263 alpha=90.00 beta=118.03 gamma=90.00
Element x y z (fractional)
K: 0.155 0.146 0.410
K: 0.155 0.354 0.910
K: 0.845 0.646 0.090
K: 0.845 0.854 0.590
In: 0.341 0.622 0.579
In: 0.341 0.878 0.079
In: 0.659 0.122 0.921
In: 0.659 0.378 0.421
O: 0.000 0.000 0.000
O: 0.000 0.500 0.500
O: 0.383 0.612 0.279
O: 0.383 0.888 0.779
O: 0.617 0.112 0.221
O: 0.617 0.388 0.721

Principal peaks in the range 10° ≤ 2θ ≤ 90°, sorted by position:
| two_theta | intensity |
| --- | --- |
| 18.9 | 60 |
| 20.1 | 29 |
| 27.8 | 23 |
| 28.4 | 36 |
| 30.1 | 100 |
| 30.5 | 47 |
| 30.8 | 39 |
| 33.7 | 46 |
| 39.7 | 26 |
| 53.9 | 30 |

---

Record 7
Structure and simulated powder diffraction line list of Pm2AlCu2 (a cell relaxed with PBE; Cu Kα, 1.54184 Å).

Atomic structure:
Unit cell a=5.662 b=5.662 c=7.927 alpha=102.18 beta=102.18 gamma=60.22
Element x y z (fractional)
Pm: 0.009 0.290 0.153
Pm: 0.290 0.009 0.653
Pm: 0.710 0.991 0.347
Pm: 0.991 0.710 0.847
Al: 0.354 0.646 0.250
Al: 0.646 0.354 0.750
Cu: 0.232 0.501 0.501
Cu: 0.499 0.768 0.999
Cu: 0.501 0.232 0.001
Cu: 0.768 0.499 0.499

Principal peaks in the range 10° ≤ 2θ ≤ 90°, sorted by position:
| two_theta | intensity |
| --- | --- |
| 26.0 | 69 |
| 31.4 | 69 |
| 32.0 | 42 |
| 33.4 | 43 |
| 33.6 | 78 |
| 36.8 | 43 |
| 37.3 | 100 |
| 37.6 | 82 |
| 37.9 | 50 |
| 40.2 | 43 |

---

Record 8
Structure and simulated powder diffraction line list of NaCaPt (a cell relaxed with PBE; Cu Kα, 1.54184 Å).

Atomic structure:
Unit cell a=7.647 b=4.183 c=13.377 alpha=90.00 beta=90.73 gamma=90.00
Element x y z (fractional)
Na: 0.008 0.250 0.086
Na: 0.132 0.750 0.538
Na: 0.386 0.250 0.200
Na: 0.614 0.750 0.800
Na: 0.868 0.250 0.462
Na: 0.992 0.750 0.914
Ca: 0.055 0.750 0.283
Ca: 0.345 0.250 0.914
Ca: 0.452 0.250 0.618
Ca: 0.548 0.750 0.382
Ca: 0.655 0.750 0.086
Ca: 0.945 0.250 0.717
Pt: 0.237 0.750 0.748
Pt: 0.268 0.250 0.406
Pt: 0.270 0.750 0.068
Pt: 0.730 0.250 0.932
Pt: 0.732 0.750 0.594
Pt: 0.763 0.250 0.252

Principal peaks in the range 10° ≤ 2θ ≤ 90°, sorted by position:
| two_theta | intensity |
| --- | --- |
| 23.0 | 49 |
| 23.2 | 100 |
| 25.1 | 82 |
| 34.4 | 45 |
| 34.6 | 32 |
| 40.5 | 36 |
| 42.0 | 23 |
| 43.3 | 25 |
| 49.7 | 35 |
| 60.7 | 22 |

---

Record 9
Structure and simulated powder diffraction line list of LaZn2Cd (a cell relaxed with PBE; Cu Kα, 1.54184 Å).

Atomic structure:
Unit cell a=6.031 b=6.031 c=6.031 alpha=43.63 beta=43.63 gamma=43.63
Element x y z (fractional)
La: 0.000 0.000 0.000
Zn: 0.215 0.215 0.215
Zn: 0.534 0.534 0.534
Cd: 0.792 0.792 0.792

Principal peaks in the range 10° ≤ 2θ ≤ 90°, sorted by position:
| two_theta | intensity |
| --- | --- |
| 23.6 | 37 |
| 31.8 | 100 |
| 35.9 | 63 |
| 40.2 | 88 |
| 52.2 | 24 |
| 55.0 | 18 |
| 66.2 | 24 |
| 67.9 | 21 |
| 70.3 | 17 |
| 73.1 | 14 |

---

Record 10
Structure and simulated powder diffraction line list of PrSm2Se4 (a cell relaxed with PBE; Cu Kα, 1.54184 Å).

Atomic structure:
Unit cell a=7.206 b=7.206 c=14.096 alpha=90.00 beta=90.00 gamma=147.00
Element x y z (fractional)
Pr: 0.125 0.875 0.750
Pr: 0.875 0.125 0.250
Sm: 0.370 0.630 0.569
Sm: 0.370 0.630 0.931
Sm: 0.630 0.370 0.069
Sm: 0.630 0.370 0.431
Se: 0.000 0.000 0.000
Se: 0.000 0.000 0.500
Se: 0.275 0.725 0.121
Se: 0.275 0.725 0.379
Se: 0.467 0.533 0.750
Se: 0.533 0.467 0.250
Se: 0.725 0.275 0.621
Se: 0.725 0.275 0.879

Principal peaks in the range 10° ≤ 2θ ≤ 90°, sorted by position:
| two_theta | intensity |
| --- | --- |
| 22.9 | 94 |
| 28.4 | 40 |
| 29.9 | 79 |
| 31.9 | 100 |
| 39.3 | 56 |
| 41.5 | 33 |
| 43.8 | 47 |
| 44.3 | 37 |
| 50.4 | 23 |
| 64.0 | 31 |

---

Record 11
Structure and simulated powder diffraction line list of Sc2BiO (a cell relaxed with PBE; Cu Kα, 1.54184 Å).

Atomic structure:
Unit cell a=4.254 b=4.254 c=8.449 alpha=90.00 beta=90.00 gamma=90.00
Element x y z (fractional)
Sc: 0.250 0.250 0.175
Sc: 0.250 0.750 0.500
Sc: 0.750 0.250 0.500
Sc: 0.750 0.750 0.825
Bi: 0.250 0.250 0.814
Bi: 0.750 0.750 0.186
O: 0.250 0.250 0.433
O: 0.750 0.750 0.567

Principal peaks in the range 10° ≤ 2θ ≤ 90°, sorted by position:
| two_theta | intensity |
| --- | --- |
| 23.4 | 100 |
| 29.7 | 71 |
| 29.8 | 43 |
| 31.6 | 41 |
| 31.8 | 49 |
| 36.7 | 68 |
| 42.5 | 52 |
| 44.0 | 38 |
| 49.1 | 31 |
| 54.0 | 43 |